GeW2BrO: simulated X-ray diffraction stick pattern (Cu Kα (λ = 1.5418 Å)), based on a cell relaxed with GGA+U.

Unit cell a=5.2233 b=5.2233 c=5.1996 alpha=90.00 beta=90.00 gamma=90.00
Element x y z (fractional)
Ge 0.0000 0.0000 0.0000
W 0.0000 0.5000 0.0000
W 0.5000 0.0000 0.0000
Br 0.0000 0.0000 0.5000
O 0.5000 0.5000 0.5000

Main lines, by intensity (2θ = 10–80°):
hkl, Position (°2θ), I (rel.)
1 1 1, 29.67, 100
0 0 1, 17.03, 97
2 0 0, 34.34, 66
2 0 2, 49.47, 47
2 0 1, 38.57, 45
0 0 2, 34.50, 33
3 1 1, 58.64, 29
2 2 2, 61.60, 24